1.
Bi3Ir: simulated X-ray diffraction stick pattern (Cu Ka), based on the GGA-PBE geometry in Alexandria.
Lines closer than 0.1° are merged.

Top 10 peaks for 10 to 90 degrees two-theta, by angle:
(hkl)	d/Å	2θ/deg	I_rel
0 3 1	3.220	27.7	51
0 0 2	2.714	33.0	24
1 2 1	2.645	33.9	100
1 1 2	2.114	42.8	23
1 4 1	2.103	43.0	34
0 6 0	2.000	45.3	18
0 3 3	1.649	55.8	16
0 6 2	1.610	57.2	17
1 5 2	1.601	57.6	13
2 3 1	1.542	60.0	13

Crystal structure
```
data_Bi3Ir
_chemical_formula_sum 'Bi6 Ir2'
_symmetry_space_group_name_H-M 'I m m 2'
_symmetry_Int_Tables_number 44
_cell_length_a 3.513
_cell_length_b 12.000
_cell_length_c 5.429
_cell_angle_alpha 90.00
_cell_angle_beta 90.00
_cell_angle_gamma 90.00
loop_
_symmetry_equiv_pos_as_xyz
'x,y,z'
'-x,-y,z'
'-x,y,z'
'x,-y,z'
'x+1/2,y+1/2,z+1/2'
'-x+1/2,-y+1/2,z+1/2'
'-x+1/2,y+1/2,z+1/2'
'x+1/2,-y+1/2,z+1/2'
loop_
_atom_site_label
_atom_site_type_symbol
_atom_site_fract_x
_atom_site_fract_y
_atom_site_fract_z
_atom_site_occupancy
Bi1 Bi 0.000 0.000 0.000 1
Bi2 Bi 0.000 0.172 0.545 1
Ir1 Ir 0.000 0.500 0.899 1
```


2.
Pr5Sm4Tm: simulated X-ray diffraction stick pattern (Cu Ka), based on the GGA-PBE geometry in Alexandria.
Lines closer than 0.1° are merged.

Top 10 peaks for 10 to 90 degrees two-theta, by angle:
(hkl)	d/Å	2θ/deg	I_rel
1 1 2	2.986	29.9	100
1 3 0	2.586	34.7	51
2 1 0	1.829	49.9	30
0 5 0	1.827	49.9	6
2 -1 2	1.561	59.2	22
2 4 2	1.558	59.3	22
2 2 4	1.493	62.2	12
3 2 2	1.186	81.1	13
3 -1 0	1.157	83.6	5
3 4 0	1.156	83.7	5

Crystal structure
```
data_Pr5Sm4Tm
_chemical_formula_sum 'Pr5 Sm4 Tm1'
_symmetry_space_group_name_H-M 'P -1'
_symmetry_Int_Tables_number 2
_cell_length_a 3.656
_cell_length_b 9.667
_cell_length_c 10.358
_cell_angle_alpha 74.49
_cell_angle_beta 89.94
_cell_angle_gamma 79.16
loop_
_symmetry_equiv_pos_as_xyz
'x,y,z'
'-x,-y,-z'
loop_
_atom_site_label
_atom_site_type_symbol
_atom_site_fract_x
_atom_site_fract_y
_atom_site_fract_z
_atom_site_occupancy
Pr1 Pr 0.000 0.000 0.000 1
Pr2 Pr 0.200 0.600 0.100 1
Pr3 Pr 0.401 0.198 0.695 1
Sm1 Sm 0.199 0.601 0.600 1
Sm2 Sm 0.401 0.199 0.205 1
Tm1 Tm 0.000 0.000 0.500 1
```


3.
La2Cu3Pt4: simulated X-ray diffraction stick pattern (Cu Ka), based on the GGA-PBE geometry in Alexandria.
Lines closer than 0.1° are merged.

Top 10 peaks for 10 to 90 degrees two-theta, by angle:
(hkl)	d/Å	2θ/deg	I_rel
0 4 1	3.450	25.8	23
1 3 1	3.395	26.2	16
1 5 1	2.550	35.2	59
2 2 1	2.485	36.1	44
0 6 1	2.441	36.8	17
0 2 3	2.428	37.0	41
2 0 2	2.258	39.9	100
0 6 2	2.138	42.3	38
2 6 0	1.893	48.1	22
2 6 4	1.347	69.8	22

Crystal structure
```
data_La2Cu3Pt4
_chemical_formula_sum 'La8 Cu12 Pt16'
_symmetry_space_group_name_H-M 'C m c e'
_symmetry_Int_Tables_number 64
_symmetry_space_group_name_Hall '-C 2ac 2'
_cell_length_a 5.586
_cell_length_b 15.449
_cell_length_c 7.671
_cell_angle_alpha 90.00
_cell_angle_beta 90.00
_cell_angle_gamma 90.00
loop_
_atom_site_label
_atom_site_type_symbol
_atom_site_fract_x
_atom_site_fract_y
_atom_site_fract_z
_atom_site_occupancy
La1 La 0.000 0.111 0.088 1
Cu1 Cu 0.000 0.000 0.500 1
Cu2 Cu 0.250 0.235 0.750 1
Pt1 Pt 0.000 0.173 0.483 1
Pt2 Pt 0.250 0.065 0.750 1
```


4.
Fe4TcW: simulated X-ray diffraction stick pattern (Cu Ka), based on the GGA-PBE geometry in Alexandria.
Lines closer than 0.1° are merged.

Top 10 peaks for 10 to 90 degrees two-theta, by angle:
(hkl)	d/Å	2θ/deg	I_rel
1 1 1	3.834	23.2	18
2 0 0	3.321	26.8	6
2 2 0	2.348	38.3	62
3 1 1	2.002	45.3	100
2 2 2	1.917	47.4	17
3 3 1	1.524	60.8	5
4 2 2	1.356	69.3	22
5 1 1	1.278	74.2	29
4 4 0	1.174	82.1	21
5 3 1	1.123	86.7	4

Crystal structure
```
data_Fe4TcW
_chemical_formula_sum 'Fe16 Tc4 W4'
_symmetry_space_group_name_H-M 'F -4 3 m'
_symmetry_Int_Tables_number 216
_symmetry_space_group_name_Hall 'F -4 2 3'
_cell_length_a 6.641
_cell_length_b 6.641
_cell_length_c 6.641
_cell_angle_alpha 90.00
_cell_angle_beta 90.00
_cell_angle_gamma 90.00
loop_
_atom_site_label
_atom_site_type_symbol
_atom_site_fract_x
_atom_site_fract_y
_atom_site_fract_z
_atom_site_occupancy
Fe1 Fe 0.125 0.125 0.125 1
Tc1 Tc 0.250 0.250 0.750 1
W1 W 0.000 0.000 0.500 1
```